1.
Calculated powder diffractogram of Th2Si3Au for Cu Kα X-rays, from a cell relaxed with GGA-PBE.
Lines closer than 0.1° are merged.

Top 12 peaks for 10 to 80 degrees two-theta, in order of rising 2θ:
d_spacing	2θ (°)	I_rel
4.076	21.8	28
3.556	25.0	13
3.164	28.2	56
2.769	32.3	100
2.365	38.0	37
2.363	38.1	13
2.125	42.5	35
1.833	49.7	19
1.765	51.8	22
1.580	58.4	21
1.503	61.7	12
1.388	67.5	16

a = 7.720 Å, b = 7.720 Å, c = 7.720 Å
α = 148.07°, β = 148.01°, γ = 45.83°
Positions (direct):
Th 0.000 0.000 0.000
Th 0.766 0.266 0.500
Si 0.345 0.845 0.500
Si 0.421 0.421 0.000
Si 0.587 0.587 0.000
Au 0.173 0.673 0.500

2.
Calculated powder diffractogram of U2Si3Au3 for Cu Kα X-rays, from a cell relaxed with GGA-PBE.
Lines closer than 0.1° are merged.

Top 12 peaks for 10 to 80 degrees two-theta, in order of rising 2θ:
d_spacing	2θ (°)	I_rel
7.289	12.1	38
4.373	20.3	39
2.733	32.8	47
2.683	33.4	100
2.518	35.7	13
2.287	39.4	31
1.915	47.5	68
1.898	47.9	37
1.741	52.6	14
1.559	59.3	35
1.204	79.6	16
1.200	79.9	17

a = 2.683 Å, b = 2.683 Å, c = 21.867 Å
α = 90.00°, β = 90.00°, γ = 90.00°
Positions (direct):
U 0.000 0.000 0.243
U 0.000 0.000 0.757
Si 0.000 0.000 0.114
Si 0.000 0.000 0.500
Si 0.000 0.000 0.886
Au 0.000 0.000 0.000
Au 0.000 0.000 0.382
Au 0.000 0.000 0.618

3.
Calculated powder diffractogram of U2Si3Au for Cu Kα X-rays, from a cell relaxed with GGA-PBE.
Lines closer than 0.1° are merged.

Top 12 peaks for 10 to 80 degrees two-theta, in order of rising 2θ:
d_spacing	2θ (°)	I_rel
7.207	12.3	6
3.603	24.7	34
3.416	26.1	8
2.723	32.9	7
2.640	34.0	100
2.080	43.5	35
1.939	46.8	10
1.708	53.7	9
1.634	56.3	23
1.418	65.8	21
1.285	73.7	20
1.217	78.6	10

a = 3.879 Å, b = 4.159 Å, c = 7.207 Å
α = 90.00°, β = 90.00°, γ = 90.00°
Positions (direct):
U 0.000 0.000 0.000
U 0.000 0.500 0.461
Si 0.500 0.000 0.312
Si 0.500 0.000 0.634
Si 0.500 0.500 0.154
Au 0.500 0.500 0.813

4.
Calculated powder diffractogram of USiAu for Cu Kα X-rays, from a cell relaxed with GGA-PBE.
Lines closer than 0.1° are merged.

Top 12 peaks for 10 to 80 degrees two-theta, in order of rising 2θ:
d_spacing	2θ (°)	I_rel
3.656	24.3	30
2.671	33.5	64
2.577	34.8	100
2.568	34.9	38
2.517	35.7	34
2.265	39.8	45
2.153	42.0	36
1.650	55.7	20
1.636	56.2	19
1.563	59.1	18
1.448	64.3	17
1.264	75.2	16

a = 5.620 Å, b = 5.620 Å, c = 6.921 Å
α = 126.14°, β = 126.14°, γ = 45.06°
Positions (direct):
U 0.057 0.057 0.305
U 0.943 0.943 0.695
Si 0.351 0.351 0.319
Si 0.649 0.649 0.681
Au 0.328 0.328 0.901
Au 0.672 0.672 0.099

5.
Calculated powder diffractogram of USiAu for Cu Kα X-rays, from a cell relaxed with GGA-PBE.
Lines closer than 0.1° are merged.

Top 12 peaks for 10 to 80 degrees two-theta, in order of rising 2θ:
d_spacing	2θ (°)	I_rel
3.715	24.0	28
2.697	33.2	100
2.145	42.1	39
1.961	46.3	10
1.857	49.0	4
1.734	52.8	7
1.679	54.7	25
1.447	64.4	23
1.404	66.6	4
1.322	71.3	23
1.238	77.0	7
1.233	77.4	9

a = 4.290 Å, b = 4.290 Å, c = 3.922 Å
α = 90.00°, β = 90.00°, γ = 120.00°
Positions (direct):
U 0.000 0.000 0.000
Si 0.333 0.667 0.500
Au 0.667 0.333 0.500

6.
Calculated powder diffractogram of YSiAu for Cu Kα X-rays, from a cell relaxed with GGA-PBE.
Lines closer than 0.1° are merged.

Top 12 peaks for 10 to 80 degrees two-theta, in order of rising 2θ:
d_spacing	2θ (°)	I_rel
3.829	23.2	18
3.369	26.5	95
2.680	33.4	100
2.166	41.7	67
2.110	42.9	30
1.914	47.5	14
1.885	48.3	16
1.822	50.1	18
1.685	54.5	25
1.434	65.0	32
1.394	67.1	15
1.330	70.9	22

a = 4.332 Å, b = 4.332 Å, c = 7.657 Å
α = 90.00°, β = 90.00°, γ = 120.00°
Positions (direct):
Y 0.000 0.000 0.000
Y 0.000 0.000 0.500
Si 0.333 0.667 0.223
Si 0.667 0.333 0.723
Au 0.333 0.667 0.766
Au 0.667 0.333 0.266